Theoretical X-ray diffraction stick pattern of Tb5Sm3Sc2 for Cu Kα, 1.54184 Å, from a PBE-relaxed structure.
Neutral-atom scattering factors, no anomalous dispersion.

Atomic structure:
Unit cell a=9.3036 b=9.3080 c=9.3188 alpha=106.61 beta=106.65 gamma=115.26
Positions (direct):
Tb: 0.0232 0.1752 0.4482
Tb: 0.1298 0.8803 0.2502
Tb: 0.2273 0.5747 0.0526
Tb: 0.3791 0.6280 0.7495
Tb: 0.4735 0.3220 0.5470
Tb: 0.5265 0.6780 0.4530
Tb: 0.6209 0.3720 0.2505
Tb: 0.7727 0.4253 0.9474
Tb: 0.8702 0.1197 0.7498
Tb: 0.9768 0.8248 0.5518
Sm: 0.0795 0.5279 0.3501
Sm: 0.2742 0.9261 0.9526
Sm: 0.3230 0.2714 0.8493
Sm: 0.6770 0.7286 0.1507
Sm: 0.7258 0.0739 0.0474
Sm: 0.9205 0.4721 0.6499
Sc: 0.1720 0.2218 0.1485
Sc: 0.4275 0.9767 0.6463
Sc: 0.5725 0.0233 0.3537
Sc: 0.8280 0.7782 0.8515

Main lines, in order of falling intensity (10 to 90 degrees two-theta):
2θ/deg	I/Imax
31.12	100
36.08	50
51.95	35
61.77	28
61.88	14
64.89	12
84.88	10
87.60	9
84.96	7
19.95	5

Theoretical X-ray diffraction stick pattern of Tb6SmSc8 for Cu Kα, 1.54184 Å, from a PBE-relaxed structure.
Neutral-atom scattering factors, no anomalous dispersion.

Atomic structure:
Unit cell a=7.8424 b=7.8424 c=7.8424 alpha=71.96 beta=71.96 gamma=71.96
Positions (direct):
Tb: 0.1719 0.4330 0.6198
Tb: 0.3802 0.8281 0.5670
Tb: 0.4330 0.6198 0.1719
Tb: 0.5670 0.3802 0.8281
Tb: 0.6198 0.1719 0.4330
Tb: 0.8281 0.5670 0.3802
Sm: 0.0000 0.0000 0.0000
Sc: 0.0468 0.8728 0.3786
Sc: 0.1272 0.6214 0.9532
Sc: 0.2322 0.2322 0.2322
Sc: 0.3786 0.0468 0.8728
Sc: 0.6214 0.9532 0.1272
Sc: 0.7678 0.7678 0.7678
Sc: 0.8728 0.3786 0.0468
Sc: 0.9532 0.1272 0.6214

Main lines, in order of falling intensity (10 to 90 degrees two-theta):
2θ/deg	I/Imax
31.41	100
36.32	86
30.07	36
24.74	34
31.04	27
52.07	27
52.55	27
28.13	26
22.87	20
36.79	17

Theoretical X-ray diffraction stick pattern of Tb12Sm2Sc5 for Cu Kα, 1.54184 Å, from a PBE-relaxed structure.
Neutral-atom scattering factors, no anomalous dispersion.

Atomic structure:
Unit cell a=11.2313 b=11.2313 c=8.4324 alpha=107.50 beta=107.50 gamma=35.63
Positions (direct):
Tb: 0.0443 0.5518 0.7062
Tb: 0.0488 0.0488 0.1919
Tb: 0.1364 0.6464 0.1106
Tb: 0.3513 0.3513 0.4224
Tb: 0.3536 0.8636 0.8894
Tb: 0.4482 0.9557 0.2938
Tb: 0.5518 0.0443 0.7062
Tb: 0.6464 0.1364 0.1106
Tb: 0.6487 0.6487 0.5776
Tb: 0.8636 0.3536 0.8894
Tb: 0.9512 0.9512 0.8081
Tb: 0.9557 0.4482 0.2938
Sm: 0.2463 0.7537 0.5000
Sm: 0.7537 0.2463 0.5000
Sc: 0.1518 0.1518 0.5973
Sc: 0.2489 0.2489 0.0032
Sc: 0.5000 0.5000 0.0000
Sc: 0.7511 0.7511 0.9968
Sc: 0.8482 0.8482 0.4027

Main lines, in order of falling intensity (10 to 90 degrees two-theta):
2θ/deg	I/Imax
31.45	100
31.85	88
37.34	59
35.42	34
64.16	24
63.46	24
52.36	22
52.46	19
17.50	17
61.13	14